# 1
Diffraction record for HfTiBr3. The powder diffractogram is simulated, not measured: it uses a cell relaxed with PBE and Cu Kα X-rays.

Principal peaks in the range 5 to 70 degrees two-theta, by intensity:
2θ = 10.8°, I 1000
2θ = 19.0°, I 648
2θ = 33.3°, I 372
2θ = 9.5°, I 365
2θ = 39.8°, I 341
2θ = 15.6°, I 313
2θ = 36.2°, I 239
2θ = 47.1°, I 213

Cell and atoms:
```
HfTiBr3
1.0
8.6007 -5.6698 0.0000
8.6007 5.6698 0.0000
-1.9966 0.0000 6.3233
Hf Ti Br
4 4 12
Direct
0.2129 0.7871 0.7500
0.2274 0.7726 0.2500
0.7726 0.2274 0.7500
0.7871 0.2129 0.2500
0.0559 0.0797 0.6587
0.0797 0.0559 0.1587
0.9203 0.9441 0.8413
0.9441 0.9203 0.3413
0.1386 0.6109 0.4042
0.1484 0.2242 0.0034
0.2242 0.1484 0.5034
0.2497 0.5613 0.9187
0.3891 0.8614 0.0958
0.4387 0.7503 0.5813
0.5613 0.2497 0.4187
0.6109 0.1386 0.9042
0.7503 0.4387 0.0813
0.7758 0.8516 0.4966
0.8516 0.7758 0.9966
0.8614 0.3891 0.5958
```

---

# 2
Diffraction record for HfTl2Br5. The powder diffractogram is simulated, not measured: it uses a cell relaxed with PBE and Cu Kα X-rays.

Principal peaks in the range 5 to 70 degrees two-theta, by intensity:
2θ = 13.5°, I 1000
2θ = 31.7°, I 910
2θ = 21.6°, I 795
2θ = 27.3°, I 578
2θ = 25.1°, I 475
2θ = 33.9°, I 468
2θ = 26.3°, I 387
2θ = 32.0°, I 305

Cell and atoms:
```
HfTl2Br5
1.0
5.8724 -4.2390 0.0000
5.8724 4.2390 0.0000
-3.7177 0.0000 6.7746
Hf Tl Br
1 2 5
Direct
0.0000 0.0000 0.0000
0.2345 0.2345 0.6704
0.7808 0.7808 0.1877
0.2615 0.8329 0.2746
0.3130 0.8780 0.8602
0.7820 0.7820 0.6945
0.8329 0.2615 0.2746
0.8780 0.3130 0.8602
```